No. 1
For Mg2CoOs, a cell relaxed with PBE gives the calculated X-ray powder pattern in this record (λ = 1.5418 Å (Cu Kα)).
Intensities are scaled so that the largest is 100.

Top 12 peaks for 10° ≤ 2θ ≤ 80°, in order of falling intensity:
2θ (°), I/Imax, (hkl)
10.19, 100, 0 0 1
41.24, 94, 1 1 2
20.46, 61, 0 0 2
35.41, 31, 1 1 0
40.55, 25, 0 2 0
36.94, 23, 1 1 1
41.62, 23, 0 0 4
75.67, 22, 2 0 4
55.76, 17, 1 1 4
74.24, 16, 1 3 2
59.50, 16, 0 2 4
45.83, 15, 0 2 2

Structure:
Unit cell a=3.0847 b=4.4497 c=8.6805 alpha=90.00 beta=90.00 gamma=90.00
Space group Cmmm (No. 65)
Asymmetric unit:
Mg: 0.0000 0.0000 0.2398
Co: 0.0000 0.5000 0.0000
Os: 0.0000 0.5000 0.5000

No. 2
For Mg2Co5P4, a cell relaxed with PBE gives the calculated X-ray powder pattern in this record (λ = 1.5418 Å (Cu Kα)).
Intensities are scaled so that the largest is 100.

Top 12 peaks for 10° ≤ 2θ ≤ 80°, in order of falling intensity:
2θ (°), I/Imax, (hkl)
20.15, 100, 0 2 0
50.05, 86, 2 2 4
49.78, 80, 0 4 4
45.31, 78, 2 0 4
41.31, 78, 2 2 0
41.06, 55, 1 3 3
33.93, 48, 0 2 4
21.41, 48, 1 1 1
55.69, 38, 0 0 8
40.96, 36, 0 4 0
74.84, 29, 2 6 0
13.41, 26, 0 0 2

Structure:
Unit cell a=5.0337 b=8.8136 c=13.2042 alpha=90.00 beta=90.00 gamma=90.00
Space group Fmmm (No. 69)
Asymmetric unit:
Mg: 0.0000 0.0000 0.1185
Co: 0.0000 0.0000 0.5000
Co: 0.2500 0.2500 0.0000
Co: 0.2500 0.2500 0.2500
P: 0.0000 0.1609 0.3717